For KAsF6, a DFT-relaxed cell (PBE, the Materials Project) gives the simulated powder XRD pattern in this record (Cu Kα).
Intensities are scaled so that the largest is 100.

abc: 5.0272 5.0272 5.0272
angles: 97.90 97.90 97.90
Positions (direct):
K 0.0000 0.0000 0.0000
As 0.5000 0.5000 0.5000
F 0.2299 0.5774 0.2717
F 0.2717 0.2299 0.5774
F 0.4226 0.7283 0.7701
F 0.5774 0.2717 0.2299
F 0.7283 0.7701 0.4226
F 0.7701 0.4226 0.7283

Main lines, sorted by position (2θ from 10° to 90°):
| 2θ/deg | intensity |
| --- | --- |
| 18.05 | 67 |
| 23.46 | 100 |
| 27.63 | 61 |
| 29.76 | 18 |
| 43.90 | 74 |
| 47.99 | 11 |
| 56.13 | 10 |
| 61.81 | 12 |
| 62.54 | 23 |
| 65.09 | 11 |

***

For U2Al3C4, a DFT-relaxed cell (PBE, the Materials Project) gives the simulated powder XRD pattern in this record (Cu Kα).
Intensities are scaled so that the largest is 100.

abc: 3.3982 3.3982 23.3325
angles: 90.00 90.00 120.00
Positions (direct):
U 0.3333 0.6667 0.0000
U 0.3333 0.6667 0.3750
U 0.6667 0.3333 0.5000
U 0.6667 0.3333 0.8750
Al 0.0000 0.0000 0.1004
Al 0.0000 0.0000 0.2741
Al 0.0000 0.0000 0.6004
Al 0.0000 0.0000 0.7741
Al 0.3333 0.6667 0.6854
Al 0.6667 0.3333 0.1854
C 0.0000 0.0000 0.1875
C 0.0000 0.0000 0.4375
C 0.0000 0.0000 0.6875
C 0.0000 0.0000 0.9375
C 0.3333 0.6667 0.5722
C 0.3333 0.6667 0.8047
C 0.6667 0.3333 0.0722
C 0.6667 0.3333 0.3047

Main lines, sorted by position (2θ from 10° to 90°):
| 2θ/deg | intensity |
| --- | --- |
| 22.87 | 23 |
| 30.64 | 33 |
| 31.35 | 23 |
| 32.53 | 100 |
| 36.08 | 68 |
| 38.36 | 23 |
| 53.23 | 22 |
| 53.97 | 28 |
| 60.41 | 18 |
| 63.35 | 21 |

***

For CaTa2O6, a DFT-relaxed cell (PBE, the Materials Project) gives the simulated powder XRD pattern in this record (Cu Kα).
Intensities are scaled so that the largest is 100.

abc: 11.2128 7.5806 5.4221
angles: 90.00 90.00 90.00
Positions (direct):
Ca 0.0412 0.2500 0.0425
Ca 0.4588 0.7500 0.5425
Ca 0.5412 0.2500 0.4575
Ca 0.9588 0.7500 0.9575
Ta 0.1409 0.5055 0.5368
Ta 0.1409 0.9945 0.5368
Ta 0.3591 0.0055 0.0368
Ta 0.3591 0.4945 0.0368
Ta 0.6409 0.5055 0.9632
Ta 0.6409 0.9945 0.9632
Ta 0.8591 0.0055 0.4632
Ta 0.8591 0.4945 0.4632
O 0.0237 0.5402 0.2707
O 0.0237 0.9598 0.2707
O 0.1222 0.7500 0.6604
O 0.1442 0.2500 0.4486
O 0.2133 0.0599 0.8676
O 0.2133 0.4401 0.8676
O 0.2867 0.5599 0.3676
O 0.2867 0.9401 0.3676
O 0.3558 0.7500 0.9486
O 0.3778 0.2500 0.1604
O 0.4763 0.0402 0.7707
O 0.4763 0.4598 0.7707
O 0.5237 0.5402 0.2293
O 0.5237 0.9598 0.2293
O 0.6222 0.7500 0.8396
O 0.6442 0.2500 0.0514
O 0.7133 0.0599 0.6324
O 0.7133 0.4401 0.6324
O 0.7867 0.5599 0.1324
O 0.7867 0.9401 0.1324
O 0.8558 0.7500 0.5514
O 0.8778 0.2500 0.3396
O 0.9763 0.0402 0.7293
O 0.9763 0.4598 0.7293

Main lines, sorted by position (2θ from 10° to 90°):
| 2θ/deg | intensity |
| --- | --- |
| 18.17 | 100 |
| 23.47 | 80 |
| 29.02 | 98 |
| 29.84 | 93 |
| 31.93 | 28 |
| 33.03 | 39 |
| 37.65 | 51 |
| 40.00 | 29 |
| 52.82 | 35 |
| 57.07 | 41 |